(1)
Theoretical PXRD pattern
Compound: K2NbCuSe4
Radiation: λ = 1.5418 Å (Cu Kα)
Structure: a structure optimized by DFT (PBE)
Intensities are scaled so that the largest is 100.

Structural model:
Lattice parameters (Å, degrees): 14.003 12.527 7.472 84.89 63.01 32.10
Positions (direct):
K1 0.055 0.055 0.695
K2 0.305 0.305 0.945
K3 0.695 0.695 0.055
K4 0.945 0.945 0.305
Nb1 0.125 0.125 0.125
Nb2 0.875 0.875 0.875
Cu1 0.375 0.375 0.375
Cu2 0.625 0.625 0.625
Se1 0.039 0.325 0.416
Se2 0.280 0.584 0.675
Se3 0.325 0.039 0.720
Se4 0.416 0.720 0.039
Se5 0.584 0.280 0.961
Se6 0.675 0.961 0.280
Se7 0.720 0.416 0.325
Se8 0.961 0.675 0.584

Principal peaks in the range 2θ = 5–70°, in order of rising 2θ:
2θ/deg, Rel. int.
14.5, 61
14.8, 100
25.0, 24
25.4, 31
27.1, 74
30.9, 77
38.2, 48
39.5, 32
41.5, 46
45.4, 23
48.9, 32
50.8, 29


(2)
Theoretical PXRD pattern
Compound: KCu3NiSe4
Radiation: λ = 1.5418 Å (Cu Kα)
Structure: a structure optimized by DFT (PBE)
Intensities are scaled so that the largest is 100.

Structural model:
Lattice parameters (Å, degrees): 6.041 6.041 6.041 90.00 90.00 90.00
Positions (direct):
K1 0.000 0.000 0.000
Cu1 0.000 0.500 0.500
Cu2 0.500 0.000 0.500
Cu3 0.500 0.500 0.000
Ni1 0.500 0.500 0.500
Se1 0.282 0.282 0.718
Se2 0.282 0.718 0.282
Se3 0.718 0.282 0.282
Se4 0.718 0.718 0.718

Principal peaks in the range 2θ = 5–70°, in order of rising 2θ:
2θ/deg, Rel. int.
14.7, 52
20.8, 5
25.5, 96
36.4, 13
42.3, 100
45.0, 13
50.1, 35
54.8, 18
57.0, 7
61.4, 13
65.6, 9
67.6, 10